Theoretical powder X-ray diffraction pattern of K4V5CuClO15 for Cu Ka, from the GGA+U geometry in Alexandria.

Crystal structure
```
K4V5CuClO15
1.0
8.982 0.000 0.000
0.000 8.982 0.000
0.000 0.000 5.669
K V Cu Cl O
4 5 1 1 15
Cartesian
1.353 6.196 0.000
2.786 1.353 0.000
6.196 7.629 0.000
7.629 2.786 0.000
1.235 3.310 2.665
3.310 7.747 2.665
4.491 4.491 2.489
5.673 1.235 2.665
7.747 5.673 2.665
0.000 0.000 2.353
0.000 0.000 4.884
0.000 4.491 2.003
0.820 1.762 2.072
1.242 3.366 4.331
1.762 8.162 2.072
2.830 3.721 1.984
3.366 7.740 4.331
3.721 6.152 1.984
4.491 0.000 2.003
4.491 4.491 4.108
5.261 2.830 1.984
5.616 1.242 4.331
6.152 5.261 1.984
7.221 0.820 2.072
7.740 5.616 4.331
8.162 7.221 2.072
```

Top 12 peaks for 2θ = 15–90°, low angle first:
hkl  two_theta  I/Imax
0 0 1  15.63  38
1 2 0  22.13  15
2 0 1  25.30  19
1 2 1  27.21  100
2 2 0  28.10  12
0 0 2  31.52  64
1 3 1  35.34  7
2 4 0  45.17  30
0 0 3  48.11  7
1 2 3  53.59  13
2 4 2  56.12  7
5 2 1  57.60  9